Calculated powder diffraction line list
Compound: Pm5NdCd6
Radiation: Cu Kα (λ = 1.5418 Å)
Structure: a DFT-relaxed cell (PBE, Alexandria)

Structure:
Lattice parameters (Å, degrees): 5.4052 7.7181 8.5486 90.00 108.33 90.00
Positions (direct):
1 Pm 0.0000 0.0000 0.0000
2 Pm 0.3330 0.5000 0.6663
3 Pm 0.3336 0.0000 0.6675
4 Pm 0.6664 0.0000 0.3325
5 Pm 0.6670 0.5000 0.3337
6 Nd 0.0000 0.5000 0.0000
7 Cd 0.1676 0.2488 0.3347
8 Cd 0.1676 0.7512 0.3347
9 Cd 0.5000 0.2488 0.0000
10 Cd 0.5000 0.7512 0.0000
11 Cd 0.8324 0.2488 0.6653
12 Cd 0.8324 0.7512 0.6653

Largest 10 diffraction maxima, low angle first, 2θ from 5° to 70°:
2θ 23.0, d 3.859, I = 1, (0 2 0)
2θ 23.3, d 3.824, I = 2, (1 0 1)
2θ 33.0, d 2.716, I = 100, (1 2 1)
2θ 33.1, d 2.704, I = 49, (0 0 3)
2θ 47.1, d 1.930, I = 9, (0 4 0)
2θ 47.6, d 1.912, I = 18, (2 0 2)
2θ 58.8, d 1.571, I = 19, (0 4 3)
2θ 59.1, d 1.563, I = 37, (3 2 0)
2θ 69.2, d 1.358, I = 11, (2 4 2)
2θ 69.5, d 1.352, I = 6, (0 0 6)